Record 1
Simulated powder XRD pattern of VCoNiPd for λ = 1.5418 Å (Cu Kα), from a PBE-relaxed structure.
Lines closer than 0.1° are merged.

Most intense lines, 2θ = 5–70°, by intensity:
two_theta, I (rel.)
42.13, 100
49.29, 61
42.98, 30
10.51, 18
21.11, 8
31.89, 5
43.54, 5
40.18, 4
39.68, 4
62.84, 3
54.19, 2
66.03, 1

Structural model:
Lattice parameters (Å, degrees): 2.633 2.633 25.255 90.00 90.00 120.00
Sites, in units of the cell vectors:
V 0.000 0.000 0.000
V 0.333 0.667 0.667
V 0.667 0.333 0.333
Co 0.000 0.000 0.746
Co 0.333 0.667 0.413
Co 0.667 0.333 0.080
Ni 0.000 0.000 0.491
Ni 0.333 0.667 0.158
Ni 0.667 0.333 0.825
Pd 0.000 0.000 0.246
Pd 0.333 0.667 0.912
Pd 0.667 0.333 0.579

***

Record 2
Simulated powder XRD pattern of Pr2Co5Ni5 for λ = 1.5418 Å (Cu Kα), from a PBE-relaxed structure.
Lines closer than 0.1° are merged.

Most intense lines, 2θ = 5–70°, by intensity:
two_theta, I (rel.)
42.85, 100
30.58, 48
41.88, 37
36.06, 30
45.65, 27
69.51, 22
63.67, 20
59.51, 14
61.46, 13
47.98, 8
64.83, 5
22.37, 4

Structural model:
Lattice parameters (Å, degrees): 3.974 4.983 8.626 90.00 90.00 90.00
Sites, in units of the cell vectors:
Pr 0.000 0.000 0.000
Pr 0.000 0.500 0.500
Co 0.000 0.000 0.333
Co 0.000 0.000 0.667
Co 0.000 0.500 0.166
Co 0.000 0.500 0.834
Co 0.500 0.500 0.000
Ni 0.500 0.000 0.500
Ni 0.500 0.250 0.250
Ni 0.500 0.250 0.750
Ni 0.500 0.750 0.250
Ni 0.500 0.750 0.750

***

Record 3
Simulated powder XRD pattern of PrYCo6Ni4 for λ = 1.5418 Å (Cu Kα), from a PBE-relaxed structure.
Lines closer than 0.1° are merged.

Most intense lines, 2θ = 5–70°, by intensity:
two_theta, I (rel.)
43.07, 100
42.77, 53
45.86, 42
41.83, 38
30.64, 36
36.25, 28
30.78, 23
69.48, 22
63.80, 21
42.24, 16
35.90, 14
48.00, 13

Structural model:
Lattice parameters (Å, degrees): 3.957 5.002 8.558 90.00 90.00 90.00
Sites, in units of the cell vectors:
Pr 0.000 0.000 0.000
Y 0.000 0.500 0.500
Co 0.000 0.000 0.341
Co 0.000 0.000 0.659
Co 0.000 0.500 0.166
Co 0.000 0.500 0.834
Co 0.500 0.000 0.500
Co 0.500 0.500 0.000
Ni 0.500 0.253 0.254
Ni 0.500 0.253 0.746
Ni 0.500 0.747 0.254
Ni 0.500 0.747 0.746

***

Record 4
Simulated powder XRD pattern of CoNiPt2 for λ = 1.5418 Å (Cu Kα), from a PBE-relaxed structure.
Lines closer than 0.1° are merged.

Most intense lines, 2θ = 5–70°, by intensity:
two_theta, I (rel.)
41.67, 100
47.57, 34
24.55, 24
33.14, 23
50.32, 14
54.24, 12
69.54, 11
61.58, 9

Structural model:
Lattice parameters (Å, degrees): 2.704 2.704 7.253 90.00 90.00 90.00
Sites, in units of the cell vectors:
Co 0.000 0.000 0.000
Ni 0.000 0.000 0.500
Pt 0.500 0.500 0.246
Pt 0.500 0.500 0.754

***

Record 5
Simulated powder XRD pattern of CoNiPt2 for λ = 1.5418 Å (Cu Kα), from a PBE-relaxed structure.
Lines closer than 0.1° are merged.

Most intense lines, 2θ = 5–70°, by intensity:
two_theta, I (rel.)
40.72, 100
10.20, 63
47.65, 59
41.65, 26
30.93, 23
42.09, 22
69.03, 21
38.35, 18
60.70, 13
69.99, 4
20.48, 3
63.77, 2

Structural model:
Lattice parameters (Å, degrees): 2.721 2.721 26.022 90.00 90.00 120.00
Sites, in units of the cell vectors:
Co 0.000 0.000 0.000
Co 0.333 0.667 0.667
Co 0.667 0.333 0.333
Ni 0.000 0.000 0.739
Ni 0.333 0.667 0.406
Ni 0.667 0.333 0.072
Pt 0.000 0.000 0.251
Pt 0.000 0.000 0.489
Pt 0.333 0.667 0.156
Pt 0.333 0.667 0.918
Pt 0.667 0.333 0.585
Pt 0.667 0.333 0.822

***

Record 6
Simulated powder XRD pattern of CoNi5S8 for λ = 1.5418 Å (Cu Kα), from a PBE-relaxed structure.
Lines closer than 0.1° are merged.

Most intense lines, 2θ = 5–70°, by intensity:
two_theta, I (rel.)
31.49, 100
55.14, 82
38.21, 48
50.32, 43
26.76, 28
16.29, 13
64.89, 11
47.26, 10
69.06, 9
62.32, 4
57.90, 2

Structural model:
Lattice parameters (Å, degrees): 6.663 6.663 6.663 60.00 60.00 60.00
Sites, in units of the cell vectors:
Co 0.000 0.000 0.000
Ni 0.124 0.625 0.625
Ni 0.250 0.250 0.250
Ni 0.625 0.124 0.625
Ni 0.625 0.625 0.124
Ni 0.625 0.625 0.625
S 0.383 0.383 0.383
S 0.383 0.383 0.850
S 0.383 0.850 0.383
S 0.395 0.868 0.868
S 0.850 0.383 0.383
S 0.868 0.395 0.868
S 0.868 0.868 0.395
S 0.868 0.868 0.868

***

Record 7
Simulated powder XRD pattern of CoNiS4 for λ = 1.5418 Å (Cu Kα), from a PBE-relaxed structure.
Lines closer than 0.1° are merged.

Most intense lines, 2θ = 5–70°, by intensity:
two_theta, I (rel.)
32.18, 100
54.65, 98
32.05, 51
46.18, 40
35.99, 30
27.68, 29
27.80, 27
46.04, 27
39.65, 26
54.43, 23
54.83, 22
39.54, 22

Structural model:
Lattice parameters (Å, degrees): 5.585 5.567 5.559 90.00 90.36 90.00
Sites, in units of the cell vectors:
Co 0.000 0.000 0.000
Co 0.000 0.500 0.500
Ni 0.500 0.000 0.500
Ni 0.500 0.500 0.000
S 0.106 0.115 0.615
S 0.106 0.385 0.115
S 0.386 0.606 0.606
S 0.386 0.894 0.106
S 0.614 0.106 0.894
S 0.614 0.394 0.394
S 0.894 0.615 0.885
S 0.894 0.885 0.385

***

Record 8
Simulated powder XRD pattern of Co5NiS8 for λ = 1.5418 Å (Cu Kα), from a PBE-relaxed structure.
Lines closer than 0.1° are merged.

Most intense lines, 2θ = 5–70°, by intensity:
two_theta, I (rel.)
31.91, 100
55.91, 82
38.72, 47
51.01, 44
27.11, 30
16.50, 13
47.90, 11
65.83, 11
63.22, 4
58.72, 2

Structural model:
Lattice parameters (Å, degrees): 6.578 6.578 6.578 60.00 60.00 60.00
Sites, in units of the cell vectors:
Co 0.000 0.000 0.000
Co 0.126 0.625 0.625
Co 0.625 0.126 0.625
Co 0.625 0.625 0.126
Co 0.625 0.625 0.625
Ni 0.250 0.250 0.250
S 0.384 0.384 0.384
S 0.384 0.384 0.847
S 0.384 0.847 0.384
S 0.397 0.868 0.868
S 0.847 0.384 0.384
S 0.868 0.397 0.868
S 0.868 0.868 0.397
S 0.868 0.868 0.868

***

Record 9
Simulated powder XRD pattern of Co3Ni3S8 for λ = 1.5418 Å (Cu Kα), from a PBE-relaxed structure.
Lines closer than 0.1° are merged.

Most intense lines, 2θ = 5–70°, by intensity:
two_theta, I (rel.)
31.72, 100
38.49, 49
55.64, 41
55.51, 41
50.70, 39
26.96, 27
16.41, 13
65.38, 8
47.59, 8
69.58, 7
62.83, 4
65.56, 3

Structural model:
Lattice parameters (Å, degrees): 6.608 6.608 6.608 60.14 60.14 60.14
Sites, in units of the cell vectors:
Co 0.000 0.000 0.000
Co 0.375 0.375 0.375
Co 0.625 0.625 0.625
Ni 0.000 0.000 0.500
Ni 0.000 0.500 0.000
Ni 0.500 0.000 0.000
S 0.230 0.759 0.759
S 0.241 0.241 0.770
S 0.241 0.770 0.241
S 0.244 0.244 0.244
S 0.756 0.756 0.756
S 0.759 0.230 0.759
S 0.759 0.759 0.230
S 0.770 0.241 0.241

***

Record 10
Simulated powder XRD pattern of Co2NiS4 for λ = 1.5418 Å (Cu Kα), from a PBE-relaxed structure.
Lines closer than 0.1° are merged.

Most intense lines, 2θ = 5–70°, by intensity:
two_theta, I (rel.)
31.83, 100
55.76, 81
38.62, 46
50.88, 45
27.04, 32
16.46, 13
47.78, 11
65.65, 11
69.88, 9
63.05, 4
58.56, 2

Structural model:
Lattice parameters (Å, degrees): 6.594 6.594 6.594 60.00 60.00 60.00
Sites, in units of the cell vectors:
Co 0.000 0.000 0.000
Co 0.000 0.000 0.500
Co 0.000 0.500 0.000
Co 0.500 0.000 0.000
Ni 0.375 0.375 0.375
Ni 0.625 0.625 0.625
S 0.222 0.759 0.759
S 0.241 0.241 0.241
S 0.241 0.241 0.778
S 0.241 0.778 0.241
S 0.759 0.222 0.759
S 0.759 0.759 0.222
S 0.759 0.759 0.759
S 0.778 0.241 0.241

***

Record 11
Simulated powder XRD pattern of CoNiSb2S2 for λ = 1.5418 Å (Cu Kα), from a PBE-relaxed structure.
Lines closer than 0.1° are merged.

Most intense lines, 2θ = 5–70°, by intensity:
two_theta, I (rel.)
34.09, 100
37.46, 56
51.53, 39
58.72, 23
21.37, 22
56.39, 13
26.25, 12
30.40, 11
43.51, 9
48.96, 7
51.62, 7
58.83, 6

Structural model:
Lattice parameters (Å, degrees): 5.876 5.885 5.882 90.00 90.15 90.00
Sites, in units of the cell vectors:
Co 0.019 0.000 0.270
Co 0.981 0.500 0.730
Ni 0.478 0.958 0.771
Ni 0.522 0.458 0.229
Sb 0.127 0.614 0.117
Sb 0.364 0.350 0.620
Sb 0.636 0.850 0.380
Sb 0.873 0.114 0.883
S 0.116 0.857 0.626
S 0.375 0.098 0.133
S 0.625 0.598 0.867
S 0.884 0.357 0.374

***

Record 12
Simulated powder XRD pattern of TlCoNiS2 for λ = 1.5418 Å (Cu Kα), from a PBE-relaxed structure.
Lines closer than 0.1° are merged.

Most intense lines, 2θ = 5–70°, by intensity:
two_theta, I (rel.)
31.24, 100
36.76, 85
24.89, 64
53.64, 45
26.38, 42
59.38, 31
49.13, 30
41.33, 24
56.62, 21
55.84, 16
66.09, 12
34.19, 11

Structural model:
Lattice parameters (Å, degrees): 3.709 3.709 13.514 90.00 90.00 90.00
Sites, in units of the cell vectors:
Tl 0.000 0.000 0.000
Tl 0.500 0.500 0.500
Co 0.000 0.500 0.750
Co 0.500 0.000 0.250
Ni 0.000 0.500 0.250
Ni 0.500 0.000 0.750
S 0.000 0.000 0.345
S 0.000 0.000 0.655
S 0.500 0.500 0.155
S 0.500 0.500 0.845

***

Record 13
Simulated powder XRD pattern of Co4NiSb12 for λ = 1.5418 Å (Cu Kα), from a PBE-relaxed structure.
Lines closer than 0.1° are merged.

Most intense lines, 2θ = 5–70°, by intensity:
two_theta, I (rel.)
31.11, 100
37.00, 53
59.27, 29
49.09, 21
44.57, 20
51.24, 17
61.17, 10
63.03, 9
42.17, 6
46.87, 5
23.98, 5
19.53, 5

Structural model:
Lattice parameters (Å, degrees): 7.873 7.873 7.873 109.47 109.47 109.47
Sites, in units of the cell vectors:
Co 0.000 0.000 0.500
Co 0.000 0.500 0.000
Co 0.500 0.000 0.000
Co 0.500 0.500 0.500
Ni 0.000 0.000 0.000
Sb 0.158 0.482 0.323
Sb 0.158 0.835 0.677
Sb 0.165 0.323 0.842
Sb 0.323 0.158 0.482
Sb 0.323 0.842 0.165
Sb 0.482 0.323 0.158
Sb 0.518 0.677 0.842
Sb 0.677 0.158 0.835
Sb 0.677 0.842 0.518
Sb 0.835 0.677 0.158
Sb 0.842 0.165 0.323
Sb 0.842 0.518 0.677